(1)
For Dy3Mg3GaHg2, a crystal structure in OQMD, relaxed with PBE gives the simulated X-ray powder pattern in this record (CuKα).
No peak broadening, texture or thermal motion is included.

Main lines, low angle first (2θ from 15° to 90°):
2θ/deg	I (rel.)
23.59	34
31.30	100
34.25	74
41.22	22
41.48	28
42.01	21

Structural model:
Cell: 7.542 7.542 4.380 Å, 90.00 90.00 120.00°
Positions (direct):
Dy (0.000, 0.588, 0.000)
Dy (0.412, 0.412, 0.000)
Dy (0.588, 0.000, 0.000)
Mg (0.000, 0.240, 0.500)
Mg (0.240, 0.000, 0.500)
Mg (0.760, 0.760, 0.500)
Ga (0.000, 0.000, 0.000)
Hg (0.333, 0.667, 0.500)
Hg (0.667, 0.333, 0.500)


(2)
For Ba2HoO3F, a crystal structure in OQMD, relaxed with PBE gives the simulated X-ray powder pattern in this record (CuKα).
No peak broadening, texture or thermal motion is included.

Main lines, low angle first (2θ from 15° to 90°):
2θ/deg	I (rel.)
28.52	100
29.51	69
38.90	23
42.23	34
49.89	15
51.75	39

Structural model:
Cell: 4.280 4.280 13.761 Å, 90.00 90.00 90.00°
Positions (direct):
Ba (0.250, 0.250, 0.102)
Ba (0.250, 0.250, 0.382)
Ba (0.750, 0.750, 0.618)
Ba (0.750, 0.750, 0.898)
Ho (0.250, 0.250, 0.762)
Ho (0.750, 0.750, 0.238)
O (0.250, 0.250, 0.919)
O (0.250, 0.750, 0.265)
O (0.250, 0.750, 0.735)
O (0.750, 0.250, 0.265)
O (0.750, 0.250, 0.735)
O (0.750, 0.750, 0.081)
F (0.250, 0.250, 0.575)
F (0.750, 0.750, 0.425)


(3)
For TlAg2Mo2, a crystal structure in OQMD, relaxed with PBE gives the simulated X-ray powder pattern in this record (CuKα).
No peak broadening, texture or thermal motion is included.

Main lines, low angle first (2θ from 15° to 90°):
2θ/deg	I (rel.)
19.77	100
33.41	95
37.73	47
38.07	59
43.24	49
51.55	40

Structural model:
Cell: 9.456 7.161 7.153 Å, 82.70 48.69 48.61°
Positions (direct):
Tl (0.125, 0.125, 0.125)
Tl (0.875, 0.875, 0.875)
Ag (0.172, 0.578, 0.172)
Ag (0.422, 0.828, 0.422)
Ag (0.578, 0.172, 0.578)
Ag (0.828, 0.422, 0.828)
Mo (0.000, 0.000, 0.000)
Mo (0.000, 0.000, 0.500)
Mo (0.000, 0.500, 0.000)
Mo (0.500, 0.000, 0.000)


(4)
For SmTlFeSe3, a crystal structure in OQMD, relaxed with PBE gives the simulated X-ray powder pattern in this record (CuKα).
No peak broadening, texture or thermal motion is included.

Main lines, low angle first (2θ from 15° to 90°):
2θ/deg	I (rel.)
19.71	34
29.07	100
32.28	30
32.91	25
43.96	33
47.75	28

Structural model:
Cell: 15.165 4.121 11.198 Å, 90.00 90.00 90.00°
Positions (direct):
Sm (0.018, 0.250, 0.160)
Sm (0.482, 0.750, 0.660)
Sm (0.518, 0.250, 0.340)
Sm (0.982, 0.750, 0.840)
Tl (0.236, 0.250, 0.466)
Tl (0.264, 0.750, 0.966)
Tl (0.736, 0.250, 0.034)
Tl (0.764, 0.750, 0.534)
Fe (0.009, 0.750, 0.419)
Fe (0.491, 0.250, 0.919)
Fe (0.509, 0.750, 0.081)
Fe (0.991, 0.250, 0.581)
Se (0.085, 0.750, 0.613)
Se (0.101, 0.250, 0.928)
Se (0.127, 0.750, 0.272)
Se (0.373, 0.250, 0.772)
Se (0.399, 0.750, 0.428)
Se (0.415, 0.250, 0.113)
Se (0.585, 0.750, 0.887)
Se (0.601, 0.250, 0.572)
Se (0.627, 0.750, 0.228)
Se (0.873, 0.250, 0.728)
Se (0.899, 0.750, 0.072)
Se (0.915, 0.250, 0.387)


(5)
For Zn2GaCuS4, a crystal structure in OQMD, relaxed with PBE gives the simulated X-ray powder pattern in this record (CuKα).
No peak broadening, texture or thermal motion is included.

Main lines, low angle first (2θ from 15° to 90°):
2θ/deg	I (rel.)
28.74	100
47.62	20
47.91	40
56.57	27
57.08	13
88.95	13

Structural model:
Cell: 5.401 5.401 10.682 Å, 90.00 90.00 90.00°
Positions (direct):
Zn (0.000, 0.500, 0.250)
Zn (0.000, 0.500, 0.750)
Zn (0.500, 0.000, 0.250)
Zn (0.500, 0.000, 0.750)
Ga (0.000, 0.000, 0.000)
Ga (0.500, 0.500, 0.500)
Cu (0.000, 0.000, 0.500)
Cu (0.500, 0.500, 0.000)
S (0.249, 0.249, 0.878)
S (0.249, 0.751, 0.122)
S (0.251, 0.251, 0.378)
S (0.251, 0.749, 0.622)
S (0.749, 0.251, 0.622)
S (0.749, 0.749, 0.378)
S (0.751, 0.249, 0.122)
S (0.751, 0.751, 0.878)


(6)
For NaSmNp, a crystal structure in OQMD, relaxed with PBE gives the simulated X-ray powder pattern in this record (CuKα).
No peak broadening, texture or thermal motion is included.

Main lines, low angle first (2θ from 15° to 90°):
2θ/deg	I (rel.)
24.01	94
34.22	100
42.24	29
55.44	40
61.27	38
77.23	19

Structural model:
Cell: 7.412 7.412 7.412 Å, 90.00 90.00 90.00°
Positions (direct):
Na (0.000, 0.000, 0.000)
Na (0.000, 0.500, 0.500)
Na (0.500, 0.000, 0.500)
Na (0.500, 0.500, 0.000)
Sm (0.250, 0.250, 0.250)
Sm (0.250, 0.750, 0.750)
Sm (0.750, 0.250, 0.750)
Sm (0.750, 0.750, 0.250)
Np (0.250, 0.250, 0.750)
Np (0.250, 0.750, 0.250)
Np (0.750, 0.250, 0.250)
Np (0.750, 0.750, 0.750)


Repeat the second record exactly.
For Ba2HoO3F, a crystal structure in OQMD, relaxed with PBE gives the simulated X-ray powder pattern in this record (CuKα).
No peak broadening, texture or thermal motion is included.

Main lines, low angle first (2θ from 15° to 90°):
2θ/deg	I (rel.)
28.52	100
29.51	69
38.90	23
42.23	34
49.89	15
51.75	39

Structural model:
Cell: 4.280 4.280 13.761 Å, 90.00 90.00 90.00°
Positions (direct):
Ba (0.250, 0.250, 0.102)
Ba (0.250, 0.250, 0.382)
Ba (0.750, 0.750, 0.618)
Ba (0.750, 0.750, 0.898)
Ho (0.250, 0.250, 0.762)
Ho (0.750, 0.750, 0.238)
O (0.250, 0.250, 0.919)
O (0.250, 0.750, 0.265)
O (0.250, 0.750, 0.735)
O (0.750, 0.250, 0.265)
O (0.750, 0.250, 0.735)
O (0.750, 0.750, 0.081)
F (0.250, 0.250, 0.575)
F (0.750, 0.750, 0.425)